# 1
This entry pairs a crystal structure of Sm2W3O12 with its computed XRD peak list. Radiation: copper Kα. Structure: a structure optimized by DFT (PBE+U).
Peak positions follow from Bragg's law for the DFT cell and can differ from measured ones.

The 10 most intense peaks (2θ = 15–90°), most intense first:
hkl 2 2 -1, 2θ 27.36, I 100
hkl 0 2 3, 2θ 28.88, I 70
hkl 2 0 2, 2θ 33.56, I 32
hkl 1 1 -3, 2θ 24.52, I 30
hkl 0 4 0, 2θ 30.57, I 28
hkl 1 1 1, 2θ 18.26, I 24
hkl 2 4 2, 2θ 46.00, I 21
hkl 2 4 -4, 2θ 46.06, I 21
hkl 0 0 2, 2θ 16.22, I 16
hkl 4 0 -2, 2θ 46.24, I 15

Structure:
Lattice parameters (Å, degrees): 7.8540 11.6962 11.6036 90.00 109.66 90.00
Space group C2/c (No. 15)
Unique sites:
Sm: 0.1793 0.1271 0.0948 (multiplicity 8)
W: 0.0000 0.1181 0.7500 (multiplicity 4)
W: 0.1530 0.3554 0.5477 (multiplicity 8)
O: 0.0129 0.0398 0.8909 (multiplicity 8)
O: 0.0766 0.3000 0.9623 (multiplicity 8)
O: 0.1123 0.2132 0.4239 (multiplicity 8)
O: 0.1397 0.4658 0.4390 (multiplicity 8)
O: 0.1958 0.2080 0.7798 (multiplicity 8)
O: 0.2217 0.4265 0.6966 (multiplicity 8)

# 2
This entry pairs a crystal structure of Sr2VSnO6 with its computed XRD peak list. Radiation: copper Kα. Structure: a structure optimized by DFT (PBE+U).
Peak positions follow from Bragg's law for the DFT cell and can differ from measured ones.

The 10 most intense peaks (2θ = 15–90°), most intense first:
hkl 2 2 0, 2θ 31.53, I 100
hkl 4 2 2, 2θ 56.15, I 40
hkl 4 0 0, 2θ 45.20, I 36
hkl 4 4 0, 2θ 65.84, I 21
hkl 6 2 0, 2θ 74.83, I 18
hkl 1 1 1, 2θ 19.16, I 9
hkl 4 4 4, 2θ 83.45, I 7
hkl 3 1 1, 2θ 37.16, I 7
hkl 2 2 2, 2θ 38.88, I 4
hkl 3 3 1, 2θ 49.51, I 4

Structure:
Lattice parameters (Å, degrees): 8.0248 8.0248 8.0248 90.00 90.00 90.00
Space group Fm-3m (No. 225)
Unique sites:
Sr: 0.2500 0.2500 0.2500 (multiplicity 8)
V: 0.0000 0.0000 0.0000 (multiplicity 4)
Sn: 0.0000 0.0000 0.5000 (multiplicity 4)
O: 0.0000 0.0000 0.2437 (multiplicity 24)

# 3
This entry pairs a crystal structure of SrV4SnO12 with its computed XRD peak list. Radiation: copper Kα. Structure: a structure optimized by DFT (PBE+U).
Peak positions follow from Bragg's law for the DFT cell and can differ from measured ones.

The 10 most intense peaks (2θ = 15–90°), most intense first:
hkl 2 0 0, 2θ 33.41, I 100
hkl 1 0 1, 2θ 20.28, I 86
hkl 2 2 0, 2θ 47.97, I 52
hkl 2 1 1, 2θ 39.40, I 48
hkl 3 1 2, 2θ 59.72, I 38
hkl 4 0 0, 2θ 70.19, I 29
hkl 3 0 1, 2θ 52.59, I 21
hkl 4 2 0, 2θ 80.00, I 17
hkl 3 2 1, 2θ 63.75, I 16
hkl 4 1 1, 2θ 73.92, I 16

Structure:
Lattice parameters (Å, degrees): 5.3622 5.3622 7.5894 90.00 90.00 90.00
Space group P4/mmm (No. 123)
Unique sites:
Sr: 0.0000 0.0000 0.0000 (multiplicity 1)
V: 0.0000 0.5000 0.2496 (multiplicity 4)
Sn: 0.5000 0.5000 0.5000 (multiplicity 1)
O: 0.0000 0.5000 0.0000 (multiplicity 2)
O: 0.0000 0.5000 0.5000 (multiplicity 2)
O: 0.2502 0.2502 0.2503 (multiplicity 8)

# 4
This entry pairs a crystal structure of SrVSnWO6 with its computed XRD peak list. Radiation: copper Kα. Structure: a structure optimized by DFT (PBE+U).
Peak positions follow from Bragg's law for the DFT cell and can differ from measured ones.

The 10 most intense peaks (2θ = 15–90°), most intense first:
hkl 2 2 0, 2θ 31.29, I 100
hkl 4 2 2, 2θ 55.69, I 40
hkl 4 0 0, 2θ 44.84, I 32
hkl 1 1 1, 2θ 19.01, I 25
hkl 4 4 0, 2θ 65.28, I 19
hkl 6 2 0, 2θ 74.17, I 18
hkl 3 1 1, 2θ 36.87, I 14
hkl 4 4 4, 2θ 82.69, I 7
hkl 3 3 1, 2θ 49.11, I 6
hkl 5 1 1, 2θ 59.40, I 5

Structure:
Lattice parameters (Å, degrees): 8.0856 8.0856 8.0856 90.00 90.00 90.00
Space group F-43m (No. 216)
Unique sites:
Sr: 0.0000 0.0000 0.0000 (multiplicity 4)
V: 0.2500 0.2500 0.7500 (multiplicity 4)
Sn: 0.0000 0.0000 0.5000 (multiplicity 4)
W: 0.2500 0.2500 0.2500 (multiplicity 4)
O: 0.0079 0.2500 0.2500 (multiplicity 24)

# 5
This entry pairs a crystal structure of SrZnSnWO6 with its computed XRD peak list. Radiation: copper Kα. Structure: a structure optimized by DFT (PBE+U).
Peak positions follow from Bragg's law for the DFT cell and can differ from measured ones.

The 10 most intense peaks (2θ = 15–90°), most intense first:
hkl 2 2 0, 2θ 31.34, I 100
hkl 4 2 2, 2θ 55.78, I 40
hkl 4 0 0, 2θ 44.91, I 31
hkl 4 4 0, 2θ 65.39, I 19
hkl 6 2 0, 2θ 74.31, I 18
hkl 1 1 1, 2θ 19.04, I 17
hkl 3 1 1, 2θ 36.93, I 9
hkl 4 4 4, 2θ 82.84, I 6
hkl 2 0 0, 2θ 22.02, I 4
hkl 3 3 1, 2θ 49.19, I 4

Structure:
Lattice parameters (Å, degrees): 8.0732 8.0732 8.0732 90.00 90.00 90.00
Space group F-43m (No. 216)
Unique sites:
Sr: 0.0000 0.0000 0.0000 (multiplicity 4)
Zn: 0.2500 0.2500 0.7500 (multiplicity 4)
Sn: 0.0000 0.0000 0.5000 (multiplicity 4)
W: 0.2500 0.2500 0.2500 (multiplicity 4)
O: 0.0088 0.2500 0.2500 (multiplicity 24)

# 6
This entry pairs a crystal structure of V2SnO7 with its computed XRD peak list. Radiation: copper Kα. Structure: a structure optimized by DFT (PBE+U).
Peak positions follow from Bragg's law for the DFT cell and can differ from measured ones.

The 10 most intense peaks (2θ = 15–90°), most intense first:
hkl 2 0 0, 2θ 19.84, I 100
hkl 3 1 1, 2θ 33.21, I 58
hkl 2 1 0, 2θ 22.22, I 51
hkl 1 1 1, 2θ 17.16, I 48
hkl 2 1 1, 2θ 24.37, I 45
hkl 2 2 0, 2θ 28.21, I 44
hkl 5 1 1, 2θ 53.19, I 37
hkl 4 0 2, 2θ 45.33, I 32
hkl 4 2 2, 2θ 49.93, I 30
hkl 4 4 0, 2θ 58.34, I 20

Structure:
Lattice parameters (Å, degrees): 8.9479 8.9479 8.9479 90.00 90.00 90.00
Space group Pa-3 (No. 205)
Unique sites:
V: 0.1154 0.1154 0.1154 (multiplicity 8)
Sn: 0.0000 0.0000 0.5000 (multiplicity 4)
O: 0.0000 0.0000 0.0000 (multiplicity 4)
O: 0.0605 0.2022 0.5919 (multiplicity 24)